Ba3Sr9Ca2: computed XRD peak list (Cu Kα), based on a structure optimized by DFT (GGA-PBE).

Structural model:
```
Ba3Sr9Ca2
1.0
-2.1078 6.0727 17.0842
2.1078 -6.0727 17.0842
2.1078 6.0727 -17.0842
Ba Sr Ca
3 9 2
direct
0.0000 0.0000 0.0000
0.3251 0.3251 0.0000
0.6749 0.6749 0.0000
0.0406 0.2078 0.8327
0.0690 0.3954 0.6735
0.2781 0.6046 0.6735
0.3751 0.2078 0.1673
0.5000 0.0000 0.5000
0.6249 0.7922 0.8327
0.7219 0.3954 0.3265
0.9310 0.6046 0.3265
0.9594 0.7922 0.1673
0.2560 0.5000 0.7560
0.7440 0.5000 0.2440
```

Largest 10 diffraction maxima, sorted by position, 10 to 90 degrees two-theta:
2θ (°), Rel. int.
21.39, 63
22.11, 41
23.32, 93
24.59, 62
24.82, 66
26.08, 65
26.91, 100
27.33, 44
32.39, 52
35.07, 48

Ba9Sr4Ca2: computed XRD peak list (Cu Kα), based on a structure optimized by DFT (GGA-PBE).

Structural model:
```
Ba9Sr4Ca2
1.0
6.8868 0.0000 0.0000
-3.4434 5.9641 0.0000
0.0000 0.0000 20.9970
Ba Sr Ca
9 4 2
direct
0.0000 0.0000 0.0000
0.0000 0.0000 0.2030
0.0000 0.0000 0.3990
0.0000 0.0000 0.6010
0.0000 0.0000 0.7970
0.3333 0.6667 0.0702
0.3333 0.6667 0.4638
0.6667 0.3333 0.5362
0.6667 0.3333 0.9298
0.3333 0.6667 0.6701
0.3333 0.6667 0.8660
0.6667 0.3333 0.1340
0.6667 0.3333 0.3299
0.3333 0.6667 0.2683
0.6667 0.3333 0.7317
```

Largest 10 diffraction maxima, sorted by position, 10 to 90 degrees two-theta:
2θ (°), Rel. int.
25.91, 100
36.97, 20
45.66, 32
45.82, 10
53.20, 7
53.36, 6
60.12, 9
60.23, 9
72.66, 11
72.78, 5